# 1
Calculated X-ray powder pattern
Compound: Pr5Nd8Ho
Radiation: Cu Ka
Structure: DFT lattice parameters and positions (PBE)
Neutral-atom scattering factors, no anomalous dispersion.

Structural model:
```
Pr5Nd8Ho
1.0
-4.9421 4.9421 5.1601
4.9421 -4.9421 5.1601
4.9421 4.9421 -5.1601
Pr Nd Ho
5 8 1
Direct
0.0000 0.0000 0.0000
0.3162 0.6326 0.1034
0.3674 0.4708 0.6836
0.5292 0.2128 0.8966
0.7872 0.6838 0.3164
0.0249 0.4222 0.2584
0.0621 0.1634 0.7334
0.1638 0.7666 0.7416
0.2334 0.9751 0.3972
0.4300 0.3288 0.2666
0.5778 0.8362 0.6028
0.6712 0.9379 0.1012
0.8366 0.5700 0.8988
0.7500 0.2500 0.5000
```

Principal peaks in the range 5 to 70 degrees two-theta, in order of rising 2θ:
Position (°2θ)	Rel. int.
27.45	73.9
28.44	75.3
28.56	89.5
30.90	26.0
32.99	100.0
33.52	54.1
33.83	57.3
61.54	24.2

# 2
Calculated X-ray powder pattern
Compound: PrNdHo5
Radiation: Cu Ka
Structure: DFT lattice parameters and positions (PBE)
Neutral-atom scattering factors, no anomalous dispersion.

Structural model:
```
PrNdHo5
1.0
5.8513 -3.4288 0.0000
5.8513 3.4288 0.0000
-3.9462 0.0000 11.4752
Pr Nd Ho
2 2 10
Direct
0.0260 0.9740 0.7500
0.9740 0.0260 0.2500
0.0000 0.5000 0.0000
0.5000 0.0000 0.5000
0.1386 0.4192 0.7462
0.2005 0.6442 0.5017
0.3558 0.7995 0.9983
0.4117 0.5883 0.2500
0.4192 0.1386 0.2462
0.5808 0.8614 0.7538
0.5883 0.4117 0.7500
0.6442 0.2005 0.0017
0.7995 0.3558 0.4983
0.8614 0.5808 0.2538
```

Principal peaks in the range 5 to 70 degrees two-theta, in order of rising 2θ:
Position (°2θ)	Rel. int.
30.35	55.9
30.63	100.0
31.18	61.8
32.36	16.2
32.98	30.3
35.37	25.4
46.00	17.8
55.01	24.5

# 3
Calculated X-ray powder pattern
Compound: PrNd5Ho2
Radiation: Cu Ka
Structure: DFT lattice parameters and positions (PBE)
Neutral-atom scattering factors, no anomalous dispersion.

Structural model:
```
PrNd5Ho2
1.0
6.7134 0.0000 0.0000
0.6339 9.2506 0.0000
2.3945 1.6618 9.0109
Pr Nd Ho
2 10 4
Direct
0.0249 0.2748 0.3957
0.9751 0.7252 0.6043
0.0750 0.0389 0.7097
0.1815 0.3222 0.9976
0.2561 0.6125 0.2419
0.2937 0.9290 0.9881
0.4241 0.6928 0.7497
0.5759 0.3072 0.2503
0.7063 0.0710 0.0119
0.7439 0.3875 0.7581
0.8185 0.6778 0.0024
0.9250 0.9611 0.2903
0.2998 0.3988 0.6032
0.3957 0.9310 0.3743
0.6043 0.0690 0.6257
0.7002 0.6012 0.3968
```

Principal peaks in the range 5 to 70 degrees two-theta, in order of rising 2θ:
Position (°2θ)	Rel. int.
29.30	99.1
29.42	100.0
29.61	86.5
29.74	47.6
31.20	58.1
31.47	61.2
31.91	70.2
32.65	72.1

# 4
Calculated X-ray powder pattern
Compound: Pr12NdHo5
Radiation: Cu Ka
Structure: DFT lattice parameters and positions (PBE)
Neutral-atom scattering factors, no anomalous dispersion.

Structural model:
```
Pr12NdHo5
1.0
7.7482 -7.7784 0.0000
7.7482 7.7784 0.0000
0.0000 0.0000 5.1887
Pr Nd Ho
12 1 5
Direct
0.0023 0.6695 0.5000
0.1636 0.1636 0.0000
0.1676 0.5022 0.0000
0.3305 0.9977 0.5000
0.3338 0.3338 0.5000
0.4978 0.8324 0.0000
0.5022 0.1676 0.0000
0.6662 0.6662 0.5000
0.6695 0.0023 0.5000
0.8324 0.4978 0.0000
0.8364 0.8364 0.0000
0.9977 0.3305 0.5000
0.5000 0.5000 0.0000
0.0000 0.0000 0.5000
0.1669 0.8331 0.0000
0.3324 0.6676 0.5000
0.6676 0.3324 0.5000
0.8331 0.1669 0.0000
```

Principal peaks in the range 5 to 70 degrees two-theta, in order of rising 2θ:
Position (°2θ)	Rel. int.
29.88	100.0
34.58	34.0
34.73	16.7
49.72	12.2
49.83	24.1
59.09	29.0
59.29	14.2
62.07	12.5

# 5
Calculated X-ray powder pattern
Compound: Pr5Nd2Ho2
Radiation: Cu Ka
Structure: DFT lattice parameters and positions (PBE)
Neutral-atom scattering factors, no anomalous dispersion.

Structural model:
```
Pr5Nd2Ho2
1.0
-7.5641 6.0078 3.4753
7.5641 -6.0078 3.4753
7.5641 6.0078 -3.4753
Pr Nd Ho
10 4 4
Direct
0.0582 0.0528 0.5054
0.0694 0.4786 0.8769
0.0694 0.6925 0.0908
0.2459 0.0530 0.2989
0.2459 0.4470 0.6929
0.5474 0.5528 0.4946
0.6017 0.1925 0.1231
0.6017 0.9786 0.9092
0.7541 0.5530 0.3071
0.7541 0.9470 0.7011
0.1532 0.2834 0.1226
0.1532 0.5307 0.3699
0.1608 0.0307 0.8774
0.1608 0.7834 0.6301
0.6022 0.8608 0.2413
0.6195 0.3608 0.7587
0.6748 0.1748 0.5000
0.6748 0.6748 0.0000
```

Principal peaks in the range 5 to 70 degrees two-theta, in order of rising 2θ:
Position (°2θ)	Rel. int.
27.86	50.0
29.72	100.0
30.47	27.2
32.02	26.3
32.16	20.3
35.09	34.2
37.24	16.3
57.58	17.0

# 6
Calculated X-ray powder pattern
Compound: PrNd7Ho3
Radiation: Cu Ka
Structure: DFT lattice parameters and positions (PBE)
Neutral-atom scattering factors, no anomalous dispersion.

Structural model:
```
PrNd7Ho3
1.0
11.0648 0.0000 0.0000
-5.5324 9.5824 0.0000
0.0000 0.0000 3.6291
Pr Nd Ho
1 7 3
Direct
0.0000 0.0000 0.0000
0.0256 0.5128 0.0000
0.3333 0.6667 0.5000
0.4048 0.2024 0.5000
0.4872 0.5128 0.0000
0.4872 0.9744 0.0000
0.7976 0.2024 0.5000
0.7976 0.5952 0.5000
0.1564 0.3129 0.5000
0.1564 0.8436 0.5000
0.6871 0.8436 0.5000
```

Principal peaks in the range 5 to 70 degrees two-theta, in order of rising 2θ:
Position (°2θ)	Rel. int.
24.56	19.1
27.93	22.4
30.91	100.0
32.36	72.6
35.00	24.4
45.36	21.8
56.81	29.3
61.08	23.5

# 7
Calculated X-ray powder pattern
Compound: Pr2Nd2Ho15
Radiation: Cu Ka
Structure: DFT lattice parameters and positions (PBE)
Neutral-atom scattering factors, no anomalous dispersion.

Structural model:
```
Pr2Nd2Ho15
1.0
5.6534 3.2640 5.7763
-5.6534 3.2640 5.7763
0.0000 -6.5280 5.7763
Pr Nd Ho
2 2 15
Direct
0.1215 0.1215 0.1215
0.8785 0.8785 0.8785
0.3376 0.3376 0.3376
0.6624 0.6624 0.6624
0.0000 0.0000 0.5000
0.0000 0.3033 0.6967
0.0000 0.5000 0.0000
0.0000 0.6967 0.3033
0.1543 0.6356 0.6356
0.3033 0.0000 0.6967
0.3033 0.6967 0.0000
0.3644 0.3644 0.8457
0.3644 0.8457 0.3644
0.5000 0.0000 0.0000
0.6356 0.1543 0.6356
0.6356 0.6356 0.1543
0.6967 0.0000 0.3033
0.6967 0.3033 0.0000
0.8457 0.3644 0.3644
```

Principal peaks in the range 5 to 70 degrees two-theta, in order of rising 2θ:
Position (°2θ)	Rel. int.
27.32	31.9
27.49	36.7
30.96	44.1
31.48	99.5
31.64	97.1
35.35	100.0
55.40	25.7
56.37	44.7

# 8
Calculated X-ray powder pattern
Compound: Pr5NdHo3
Radiation: Cu Ka
Structure: DFT lattice parameters and positions (PBE)
Neutral-atom scattering factors, no anomalous dispersion.

Structural model:
```
Pr5NdHo3
1.0
-4.2460 4.2460 8.7401
4.2460 -4.2460 8.7401
4.2460 4.2460 -8.7401
Pr Nd Ho
10 2 6
Direct
0.0000 0.0000 0.0000
0.0634 0.5634 0.9013
0.1621 0.0634 0.5000
0.3379 0.8379 0.9013
0.4366 0.3379 0.5000
0.5000 0.5000 0.0000
0.5634 0.6621 0.5000
0.6621 0.1621 0.0987
0.8379 0.9366 0.5000
0.9366 0.4366 0.0987
0.2500 0.7500 0.5000
0.7500 0.2500 0.5000
0.1246 0.3754 0.5000
0.2500 0.2500 0.0000
0.3754 0.8754 0.2508
0.6246 0.1246 0.7492
0.7500 0.7500 0.0000
0.8754 0.6246 0.5000
```

Principal peaks in the range 5 to 70 degrees two-theta, in order of rising 2θ:
Position (°2θ)	Rel. int.
28.05	69.6
29.33	100.0
29.76	41.3
33.37	19.0
34.91	30.8
38.57	15.7
41.32	19.5
52.55	17.3

# 9
Calculated X-ray powder pattern
Compound: Pr3Nd3Ho4
Radiation: Cu Ka
Structure: DFT lattice parameters and positions (PBE)
Neutral-atom scattering factors, no anomalous dispersion.

Structural model:
```
Pr3Nd3Ho4
1.0
3.6771 0.0000 0.0000
0.0000 6.8609 6.8628
0.0000 -6.8609 6.8628
Pr Nd Ho
3 3 4
Direct
0.0000 0.0000 0.0000
0.0000 0.4997 0.8499
0.0000 0.8499 0.4997
0.0000 0.3498 0.3498
0.5000 0.1755 0.6740
0.5000 0.6740 0.1755
0.5000 0.0532 0.2975
0.5000 0.2975 0.0532
0.5000 0.5521 0.5521
0.5000 0.7972 0.7972
```

Principal peaks in the range 5 to 70 degrees two-theta, in order of rising 2θ:
Position (°2θ)	Rel. int.
29.10	62.9
30.50	31.5
31.90	100.0
33.29	18.4
38.22	20.8
54.27	20.6
56.89	17.6
58.52	17.6

# 10
Calculated X-ray powder pattern
Compound: Pr5Nd3Ho2
Radiation: Cu Ka
Structure: DFT lattice parameters and positions (PBE)
Neutral-atom scattering factors, no anomalous dispersion.

Structural model:
```
Pr5Nd3Ho2
1.0
5.8841 -2.7951 0.0000
5.8841 2.7951 0.0000
-1.5873 0.0000 10.8555
Pr Nd Ho
5 3 2
Direct
0.0000 0.0000 0.0000
0.1402 0.1402 0.2619
0.3227 0.3227 0.5526
0.6773 0.6773 0.4474
0.8598 0.8598 0.7381
0.0000 0.0000 0.5000
0.2651 0.2651 0.8929
0.7349 0.7349 0.1071
0.4359 0.4359 0.2258
0.5641 0.5641 0.7742
```

Principal peaks in the range 5 to 70 degrees two-theta, in order of rising 2θ:
Position (°2θ)	Rel. int.
24.85	20.3
29.47	24.1
30.14	51.5
30.79	100.0
31.32	74.9
32.02	69.0
33.00	34.6
46.63	29.4

# 11
Calculated X-ray powder pattern
Compound: Pr2NdHo4
Radiation: Cu Ka
Structure: DFT lattice parameters and positions (PBE)
Neutral-atom scattering factors, no anomalous dispersion.

Structural model:
```
Pr2NdHo4
1.0
8.3017 -3.3945 0.0000
8.3017 3.3945 0.0000
-8.1128 0.0000 8.3100
Pr Nd Ho
4 2 8
Direct
0.0000 0.0000 0.0000
0.3365 0.1088 0.9733
0.8912 0.6635 0.0267
0.9992 0.0008 0.5000
0.3366 0.1091 0.4723
0.8909 0.6634 0.5277
0.3284 0.6724 0.2501
0.3276 0.6716 0.7499
0.3308 0.3675 0.3496
0.3331 0.3643 0.8484
0.6325 0.6692 0.6504
0.6357 0.6669 0.1516
0.7721 0.2267 0.7494
0.7733 0.2279 0.2506
```

Principal peaks in the range 5 to 70 degrees two-theta, in order of rising 2θ:
Position (°2θ)	Rel. int.
30.33	100.0
30.50	46.6
30.80	55.9
33.90	32.8
34.12	47.7
43.77	17.8
56.06	20.7
56.53	23.7

# 12
Calculated X-ray powder pattern
Compound: Pr10NdHo4
Radiation: Cu Ka
Structure: DFT lattice parameters and positions (PBE)
Neutral-atom scattering factors, no anomalous dispersion.

Structural model:
```
Pr10NdHo4
1.0
-5.0564 5.0564 5.4343
5.0564 -5.0564 5.4343
5.0564 5.0564 -5.4343
Pr Nd Ho
10 1 4
Direct
0.0519 0.9427 0.6552
0.0573 0.7125 0.1092
0.2500 0.7500 0.5000
0.2875 0.3967 0.3448
0.3967 0.0519 0.1092
0.6033 0.9481 0.8908
0.7125 0.6033 0.6552
0.7500 0.2500 0.5000
0.9427 0.2875 0.8908
0.9481 0.0573 0.3448
0.0000 0.0000 0.0000
0.2257 0.5561 0.7818
0.4439 0.2257 0.6696
0.5561 0.7743 0.3304
0.7743 0.4439 0.2182
```

Principal peaks in the range 5 to 70 degrees two-theta, in order of rising 2θ:
Position (°2θ)	Rel. int.
21.28	17.5
26.13	24.9
27.90	81.5
31.64	100.0
32.49	33.1
39.87	29.5
40.68	23.3
58.57	20.7

Copy entry 3 word for word.
Calculated X-ray powder pattern
Compound: PrNd5Ho2
Radiation: Cu Ka
Structure: DFT lattice parameters and positions (PBE)
Neutral-atom scattering factors, no anomalous dispersion.

Structural model:
```
PrNd5Ho2
1.0
6.7134 0.0000 0.0000
0.6339 9.2506 0.0000
2.3945 1.6618 9.0109
Pr Nd Ho
2 10 4
Direct
0.0249 0.2748 0.3957
0.9751 0.7252 0.6043
0.0750 0.0389 0.7097
0.1815 0.3222 0.9976
0.2561 0.6125 0.2419
0.2937 0.9290 0.9881
0.4241 0.6928 0.7497
0.5759 0.3072 0.2503
0.7063 0.0710 0.0119
0.7439 0.3875 0.7581
0.8185 0.6778 0.0024
0.9250 0.9611 0.2903
0.2998 0.3988 0.6032
0.3957 0.9310 0.3743
0.6043 0.0690 0.6257
0.7002 0.6012 0.3968
```

Principal peaks in the range 5 to 70 degrees two-theta, in order of rising 2θ:
Position (°2θ)	Rel. int.
29.30	99.1
29.42	100.0
29.61	86.5
29.74	47.6
31.20	58.1
31.47	61.2
31.91	70.2
32.65	72.1